For Na4Hf3MgSe8, a DFT-relaxed cell (GGA-PBE, Alexandria) gives the calculated powder diffraction line list in this record (Cu Kα (λ = 1.5418 Å)).
Intensities are scaled so that the largest is 1000.

Cell and atoms:
a b c (Å): 13.434 7.755 8.354
angles (deg): 90.00 122.42 90.00
Space group C2/m (No. 12)
Unique sites:
Na1 0.000 0.000 0.000 x2
Na2 0.000 0.500 0.000 x2
Na3 0.250 0.250 0.000 x4
Hf1 0.000 0.000 0.500 x2
Hf2 0.250 0.250 0.500 x4
Mg1 0.000 0.500 0.500 x2
Se1 0.011 0.248 0.281 x8
Se2 0.241 0.000 0.722 x4
Se3 0.242 0.500 0.720 x4

Main lines, in order of rising 2θ (2θ from 15° to 90°):
d 3.317, I 159, (4 0 -1); d 2.835, I 1000, (4 0 0); d 2.247, I 170, (2 2 -3); d 2.078, I 371, (2 2 2); d 1.939, I 340, (0 4 0); d 1.869, I 123, (6 2 -3); d 1.600, I 177, (4 4 0); d 1.304, I 137, (6 2 2); d 1.234, I 148, (10 2 -2); d 1.144, I 107, (8 4 0)